# 1
This entry pairs a crystal structure of BaInMo2S with its computed X-ray diffraction stick pattern. Radiation: CuKα. Structure: a cell relaxed with GGA-PBE.
Neutral-atom scattering factors, no anomalous dispersion.

Principal peaks in the range 2θ = 10–90°, low angle first:
two_theta, I (rel.)
30.6, 36
31.4, 100
39.1, 37
50.5, 34
55.0, 20
56.5, 12
63.8, 5
65.6, 15
66.1, 23
77.4, 10
82.7, 12
89.1, 5

Structural model:
Cell: 4.610 4.610 5.835 Å, 90.00 90.00 90.00°
Atoms (fractional coordinates):
Ba 0.000 0.000 0.000
In 0.500 0.500 0.000
Mo 0.000 0.500 0.500
Mo 0.500 0.000 0.500
S 0.500 0.500 0.500



# 2
This entry pairs a crystal structure of Ba9In3N2 with its computed X-ray diffraction stick pattern. Radiation: CuKα. Structure: a cell relaxed with GGA-PBE.
Neutral-atom scattering factors, no anomalous dispersion.

Principal peaks in the range 2θ = 10–90°, low angle first:
two_theta, I (rel.)
26.2, 32
26.5, 60
27.3, 85
29.1, 100
31.4, 68
44.5, 20
45.6, 44
48.4, 21
52.5, 16
53.5, 49
55.0, 16
73.7, 17

Structural model:
Cell: 7.965 7.965 20.185 Å, 90.00 90.00 120.00°
Atoms (fractional coordinates):
Ba 0.017 0.509 0.250
Ba 0.174 0.348 0.090
Ba 0.174 0.348 0.410
Ba 0.174 0.826 0.090
Ba 0.174 0.826 0.410
Ba 0.348 0.174 0.590
Ba 0.348 0.174 0.910
Ba 0.491 0.509 0.250
Ba 0.491 0.983 0.250
Ba 0.509 0.017 0.750
Ba 0.509 0.491 0.750
Ba 0.652 0.826 0.090
Ba 0.652 0.826 0.410
Ba 0.826 0.174 0.590
Ba 0.826 0.174 0.910
Ba 0.826 0.652 0.590
Ba 0.826 0.652 0.910
Ba 0.983 0.491 0.750
In 0.000 0.000 0.250
In 0.000 0.000 0.750
In 0.333 0.667 0.573
In 0.333 0.667 0.927
In 0.667 0.333 0.073
In 0.667 0.333 0.427
N 0.333 0.667 0.162
N 0.333 0.667 0.338
N 0.667 0.333 0.662
N 0.667 0.333 0.838



# 3
This entry pairs a crystal structure of BaInNO2 with its computed X-ray diffraction stick pattern. Radiation: CuKα. Structure: a cell relaxed with GGA-PBE.
Neutral-atom scattering factors, no anomalous dispersion.

Principal peaks in the range 2θ = 10–90°, low angle first:
two_theta, I (rel.)
28.9, 48
29.1, 100
41.4, 30
42.0, 14
51.4, 41
51.8, 19
59.9, 9
60.4, 18
75.9, 9
82.8, 11
83.1, 10
83.7, 10

Structural model:
Cell: 4.365 4.365 4.302 Å, 90.00 90.00 90.00°
Atoms (fractional coordinates):
Ba 0.000 0.000 0.000
In 0.500 0.500 0.500
N 0.500 0.500 0.000
O 0.000 0.500 0.500
O 0.500 0.000 0.500



# 4
This entry pairs a crystal structure of Ba8Na3In2 with its computed X-ray diffraction stick pattern. Radiation: CuKα. Structure: a cell relaxed with GGA-PBE.
Neutral-atom scattering factors, no anomalous dispersion.

Principal peaks in the range 2θ = 10–90°, low angle first:
two_theta, I (rel.)
17.5, 7
18.7, 16
20.8, 39
28.1, 100
29.4, 27
29.8, 27
35.3, 21
42.4, 20
51.4, 17
51.9, 17
58.2, 8
69.0, 7

Structural model:
Cell: 11.269 11.269 5.987 Å, 90.00 90.00 114.77°
Atoms (fractional coordinates):
Ba 0.108 0.395 0.500
Ba 0.126 0.874 0.000
Ba 0.340 0.660 0.000
Ba 0.395 0.108 0.500
Ba 0.605 0.892 0.500
Ba 0.660 0.340 0.000
Ba 0.874 0.126 0.000
Ba 0.892 0.605 0.500
Na 0.284 0.284 0.000
Na 0.500 0.500 0.500
Na 0.716 0.716 0.000
In 0.240 0.760 0.500
In 0.760 0.240 0.500



# 5
This entry pairs a crystal structure of BaNa4In4 with its computed X-ray diffraction stick pattern. Radiation: CuKα. Structure: a cell relaxed with GGA-PBE.
Neutral-atom scattering factors, no anomalous dispersion.

Principal peaks in the range 2θ = 10–90°, low angle first:
two_theta, I (rel.)
15.6, 33
23.7, 40
26.3, 100
26.7, 35
29.2, 55
34.1, 23
34.7, 66
35.8, 22
39.3, 49
45.3, 18
49.4, 23
51.6, 18

Structural model:
Cell: 7.090 7.090 11.330 Å, 90.00 90.00 90.00°
Atoms (fractional coordinates):
Ba 0.250 0.750 0.250
Ba 0.750 0.250 0.750
Na 0.021 0.250 0.171
Na 0.250 0.021 0.671
Na 0.250 0.479 0.671
Na 0.479 0.250 0.171
Na 0.521 0.750 0.829
Na 0.750 0.521 0.329
Na 0.750 0.979 0.329
Na 0.979 0.750 0.829
In 0.035 0.250 0.466
In 0.250 0.035 0.966
In 0.250 0.465 0.966
In 0.465 0.250 0.466
In 0.535 0.750 0.534
In 0.750 0.535 0.034
In 0.750 0.965 0.034
In 0.965 0.750 0.534